# 1
For InPd9Au2, a GGA-PBE-relaxed structure gives the calculated X-ray diffraction stick pattern in this record (λ = 1.5418 Å (Cu Kα)).
Lines closer than 0.1° are merged.

Principal peaks in the range 10° ≤ 2θ ≤ 80°, by intensity:
hkl 1 1 3, 38.87°, I 1000
hkl 2 0 0, 45.07°, I 327
hkl 3 1 3, 78.98°, I 248
hkl 2 0 6, 65.92°, I 207
hkl 0 0 6, 45.43°, I 160
hkl 1 1 9, 79.51°, I 122
hkl 2 2 0, 65.64°, I 105
hkl 1 0 0, 22.09°, I 31
hkl 1 0 3, 31.57°, I 28
hkl 2 1 0, 50.78°, I 16

Atomic structure:
```
data_InPd9Au2
_chemical_formula_sum 'In1 Pd9 Au2'
_symmetry_space_group_name_H-M 'P 4/m m m'
_symmetry_Int_Tables_number 123
_symmetry_space_group_name_Hall '-P 4 2'
_cell_length_a 4.0233
_cell_length_b 4.0233
_cell_length_c 11.9777
_cell_angle_alpha 90.00
_cell_angle_beta 90.00
_cell_angle_gamma 90.00
loop_
_atom_site_label
_atom_site_type_symbol
_atom_site_fract_x
_atom_site_fract_y
_atom_site_fract_z
In1 In 0.0000 0.0000 0.0000
Pd1 Pd 0.0000 0.5000 0.1669
Pd2 Pd 0.0000 0.5000 0.5000
Pd3 Pd 0.5000 0.5000 0.0000
Pd4 Pd 0.5000 0.5000 0.3338
Au1 Au 0.0000 0.0000 0.3340
```

***

# 2
For Ta2TlPd9, a GGA-PBE-relaxed structure gives the calculated X-ray diffraction stick pattern in this record (λ = 1.5418 Å (Cu Kα)).
Lines closer than 0.1° are merged.

Principal peaks in the range 10° ≤ 2θ ≤ 80°, by intensity:
hkl 1 1 3, 38.91°, I 1000
hkl 2 0 0, 45.35°, I 330
hkl 3 1 3, 79.42°, I 247
hkl 2 0 6, 65.81°, I 197
hkl 0 0 6, 45.00°, I 154
hkl 2 2 0, 66.08°, I 107
hkl 1 1 9, 78.91°, I 105
hkl 1 0 0, 22.23°, I 46
hkl 1 0 3, 31.52°, I 41
hkl 0 0 3, 22.06°, I 26

Atomic structure:
```
data_Ta2TlPd9
_chemical_formula_sum 'Ta2 Tl1 Pd9'
_symmetry_space_group_name_H-M 'P 4/m m m'
_symmetry_Int_Tables_number 123
_symmetry_space_group_name_Hall '-P 4 2'
_cell_length_a 3.9993
_cell_length_b 3.9993
_cell_length_c 12.0862
_cell_angle_alpha 90.00
_cell_angle_beta 90.00
_cell_angle_gamma 90.00
loop_
_atom_site_label
_atom_site_type_symbol
_atom_site_fract_x
_atom_site_fract_y
_atom_site_fract_z
Ta1 Ta 0.0000 0.0000 0.1685
Tl1 Tl 0.0000 0.0000 0.5000
Pd1 Pd 0.0000 0.5000 0.0000
Pd2 Pd 0.0000 0.5000 0.3193
Pd3 Pd 0.5000 0.5000 0.1597
Pd4 Pd 0.5000 0.5000 0.5000
```